Pr2Ni3: computed X-ray powder pattern (Cu Kα X-rays), based on DFT lattice parameters and positions (GGA-PBE).
Peak positions follow from Bragg's law for the DFT cell and can differ from measured ones.

Structural model:
```
data_Pr2Ni3
_cell_length_a 4.0166
_cell_length_b 24.9375
_cell_length_c 4.0719
_cell_angle_alpha 90.00
_cell_angle_beta 90.00
_cell_angle_gamma 90.00
_space_group_name_H-M_alt 'C m c m'
_space_group_IT_number 63
_space_group_name_Hall '-C 2c 2'
loop_
_atom_site_label
_atom_site_type_symbol
_atom_site_fract_x
_atom_site_fract_y
_atom_site_fract_z
Pr1 Pr 0.0000 0.0694 0.2500
Pr2 Pr 0.0000 0.2009 0.7500
Ni1 Ni 0.0000 0.3298 0.7500
Ni2 Ni 0.0000 0.3825 0.2500
Ni3 Ni 0.0000 0.4764 0.2500
```

The 8 most intense peaks (10 to 90 degrees two-theta), sorted by position:
2θ/deg, I/Imax
26.14, 26.4
33.13, 100.0
33.63, 60.5
36.21, 26.7
42.51, 28.1
44.50, 26.6
45.15, 25.5
56.91, 26.2


Pa2Co12P7: computed X-ray powder pattern (Cu Kα X-rays), based on DFT lattice parameters and positions (GGA-PBE).
Peak positions follow from Bragg's law for the DFT cell and can differ from measured ones.

Structural model:
```
data_Pa2Co12P7
_cell_length_a 9.0180
_cell_length_b 9.0180
_cell_length_c 3.6153
_cell_angle_alpha 90.00
_cell_angle_beta 90.00
_cell_angle_gamma 120.00
_space_group_name_H-M_alt 'P -6'
_space_group_IT_number 174
loop_
_space_group_symop_operation_xyz
'x,y,z'
'-x+y,-x,-z'
'-y,x-y,z'
'x,y,-z'
'-x+y,-x,z'
'-y,x-y,-z'
loop_
_atom_site_label
_atom_site_type_symbol
_atom_site_fract_x
_atom_site_fract_y
_atom_site_fract_z
Pa1 Pa 0.0000 0.0000 0.0000
Pa2 Pa 0.3333 0.6667 0.5000
Co1 Co 0.0459 0.2729 0.5000
Co2 Co 0.1100 0.7094 0.0000
Co3 Co 0.3928 0.1825 0.0000
Co4 Co 0.5401 0.4393 0.5000
P1 P 0.0645 0.4413 0.0000
P2 P 0.2707 0.2296 0.5000
P3 P 0.6667 0.3333 0.0000
```

The 8 most intense peaks (10 to 90 degrees two-theta), sorted by position:
2θ/deg, I/Imax
11.33, 13.4
19.69, 14.5
27.18, 20.1
30.28, 12.8
39.41, 100.0
39.99, 13.1
50.49, 14.2
53.79, 17.5


LiFeCuI5: computed X-ray powder pattern (Cu Kα X-rays), based on DFT lattice parameters and positions (GGA-PBE).
Peak positions follow from Bragg's law for the DFT cell and can differ from measured ones.

Structural model:
```
data_LiFeCuI5
_cell_length_a 13.2412
_cell_length_b 10.8075
_cell_length_c 10.0230
_cell_angle_alpha 90.00
_cell_angle_beta 112.41
_cell_angle_gamma 90.00
_space_group_name_H-M_alt 'C 1 2/c 1'
_space_group_IT_number 15
loop_
_space_group_symop_operation_xyz
'x,y,z'
'-x,-y,-z'
'-x,y,-z+1/2'
'x,-y,z+1/2'
'x+1/2,y+1/2,z'
'-x+1/2,-y+1/2,-z'
'-x+1/2,y+1/2,-z+1/2'
'x+1/2,-y+1/2,z+1/2'
loop_
_atom_site_label
_atom_site_type_symbol
_atom_site_fract_x
_atom_site_fract_y
_atom_site_fract_z
Li1 Li 0.0000 0.1344 0.2500
Fe1 Fe 0.0000 0.1726 0.7500
Cu1 Cu 0.0000 0.5000 0.0000
I1 I 0.0000 0.3897 0.2500
I2 I 0.1097 0.3076 0.6412
I3 I 0.1425 0.0331 0.9375
```

The 8 most intense peaks (10 to 90 degrees two-theta), sorted by position:
2θ/deg, I/Imax
14.47, 55.5
16.25, 42.3
21.61, 73.3
23.30, 55.0
24.39, 100.0
25.31, 73.8
28.21, 40.2
31.71, 40.5


Q: Which formula does entry 2 have?
A: Pa2Co12P7